# 1
Simulated PXRD pattern
Compound: K2Tl12Pt7
Radiation: Cu Kα (weighted mean of Kα1 and Kα2)
Structure: a cell relaxed with GGA-PBE
Peak positions follow from Bragg's law for the DFT cell and can differ from measured ones.

The 8 most intense peaks (2θ = 5–70°), sorted by position:
2θ (°)	Rel. int.
8.76	22
15.20	26
30.80	100
37.91	54
38.89	18
40.30	32
41.02	52
68.35	19

Cell and atoms:
a b c (Å): 11.6548 11.6548 4.4761
angles (deg): 90.00 90.00 120.00
Space group P-6 (No. 174)
Unique sites:
1 K 0.0000 0.0000 0.0000
2 K 0.3333 0.6667 0.5000
3 Tl 0.0393 0.7920 0.5000
4 Tl 0.1102 0.4017 0.0000
5 Tl 0.4473 0.2301 0.0000
6 Tl 0.5246 0.0518 0.5000
7 Pt 0.0644 0.6397 0.0000
8 Pt 0.2791 0.0465 0.5000
9 Pt 0.6667 0.3333 0.5000


# 2
Simulated PXRD pattern
Compound: K4Tl5Pt
Radiation: Cu Kα (weighted mean of Kα1 and Kα2)
Structure: a cell relaxed with GGA-PBE
Peak positions follow from Bragg's law for the DFT cell and can differ from measured ones.

The 8 most intense peaks (2θ = 5–70°), sorted by position:
2θ (°)	Rel. int.
11.72	100
15.65	24
28.41	78
31.59	21
35.68	33
37.89	36
43.39	15
51.34	20

Cell and atoms:
a b c (Å): 10.677 10.677 6.681
angles (deg): 90.00 90.00 90.00
Space group I4mm (No. 107)
Unique sites:
1 K 0.000 0.293 0.000
2 Tl 0.000 0.000 0.214
3 Tl 0.155 0.155 0.544
4 Pt 0.000 0.000 0.801


# 3
Simulated PXRD pattern
Compound: K4PtW
Radiation: Cu Kα (weighted mean of Kα1 and Kα2)
Structure: a cell relaxed with GGA-PBE
Peak positions follow from Bragg's law for the DFT cell and can differ from measured ones.

The 8 most intense peaks (2θ = 5–70°), sorted by position:
2θ (°)	Rel. int.
16.58	42
27.24	88
32.06	100
42.56	13
48.15	38
51.27	35
56.20	23
63.55	17

Cell and atoms:
a b c (Å): 9.259 9.259 9.259
angles (deg): 90.00 90.00 90.00
Space group F-43m (No. 216)
Unique sites:
1 K 0.124 0.124 0.124
2 Pt 0.250 0.250 0.750
3 W 0.000 0.000 0.500


# 4
Simulated PXRD pattern
Compound: KPu
Radiation: Cu Kα (weighted mean of Kα1 and Kα2)
Structure: a cell relaxed with GGA-PBE
Peak positions follow from Bragg's law for the DFT cell and can differ from measured ones.

The 8 most intense peaks (2θ = 5–70°), sorted by position:
2θ (°)	Rel. int.
11.51	100
17.56	56
26.74	87
29.08	40
34.82	34
35.02	32
35.45	38
44.52	31

Cell and atoms:
a b c (Å): 13.3983 13.3983 10.2612
angles (deg): 90.00 90.00 120.00
Space group R-3 (No. 148, hexagonal axes)
Unique sites:
1 K 0.0873 0.8944 0.3466
2 Pu 0.0802 0.4943 0.6154


# 5
Simulated PXRD pattern
Compound: K4Pu3RhS8
Radiation: Cu Kα (weighted mean of Kα1 and Kα2)
Structure: a cell relaxed with GGA-PBE
Peak positions follow from Bragg's law for the DFT cell and can differ from measured ones.

The 8 most intense peaks (2θ = 5–70°), sorted by position:
2θ (°)	Rel. int.
12.08	100
24.29	22
26.16	24
27.07	45
30.58	96
38.76	24
42.02	35
45.44	22

Cell and atoms:
a b c (Å): 13.848 7.954 8.661
angles (deg): 90.00 122.21 90.00
Space group C2/m (No. 12)
Unique sites:
1 K 0.000 0.000 0.000
2 K 0.000 0.500 0.000
3 K 0.250 0.250 0.000
4 Pu 0.000 0.000 0.500
5 Pu 0.250 0.250 0.500
6 Rh 0.000 0.500 0.500
7 S 0.014 0.267 0.308
8 S 0.219 0.500 0.690
9 S 0.236 0.000 0.706


# 6
Simulated PXRD pattern
Compound: K2Tb2PuS6
Radiation: Cu Kα (weighted mean of Kα1 and Kα2)
Structure: a cell relaxed with GGA-PBE
Peak positions follow from Bragg's law for the DFT cell and can differ from measured ones.

The 8 most intense peaks (2θ = 5–70°), sorted by position:
2θ (°)	Rel. int.
11.76	100
23.65	16
25.86	33
26.77	29
30.07	26
30.17	52
41.17	28
45.05	26

Cell and atoms:
a b c (Å): 6.981 12.060 7.881
angles (deg): 90.00 107.34 90.00
Space group C2/m (No. 12)
Unique sites:
1 K 0.000 0.169 0.000
2 Tb 0.000 0.334 0.500
3 Pu 0.000 0.000 0.500
4 S 0.228 0.164 0.695
5 S 0.243 0.500 0.695


# 7
Simulated PXRD pattern
Compound: KPuUS4
Radiation: Cu Kα (weighted mean of Kα1 and Kα2)
Structure: a cell relaxed with GGA-PBE
Peak positions follow from Bragg's law for the DFT cell and can differ from measured ones.

The 8 most intense peaks (2θ = 5–70°), sorted by position:
2θ (°)	Rel. int.
12.84	94
12.99	90
24.72	53
24.95	100
25.84	41
30.06	73
39.54	47
43.14	69

Cell and atoms:
a b c (Å): 8.333 8.483 11.835
angles (deg): 90.00 90.00 90.00
Space group Imma (No. 74)
Unique sites:
1 K 0.000 0.250 0.125
2 Pu 0.000 0.000 0.500
3 U 0.250 0.250 0.750
4 S 0.000 0.044 0.735
5 S 0.214 0.250 0.525


# 8
Simulated PXRD pattern
Compound: KY4PuS8
Radiation: Cu Kα (weighted mean of Kα1 and Kα2)
Structure: a cell relaxed with GGA-PBE
Peak positions follow from Bragg's law for the DFT cell and can differ from measured ones.

The 8 most intense peaks (2θ = 5–70°), sorted by position:
2θ (°)	Rel. int.
13.18	86
21.64	33
25.19	47
25.35	100
30.66	69
40.18	39
43.72	49
44.10	48

Cell and atoms:
a b c (Å): 8.2148 8.2148 20.3697
angles (deg): 90.00 90.00 120.00
Space group R3m (No. 160, hexagonal axes)
Unique sites:
1 K 0.0000 0.0000 0.0000
2 Y 0.0000 0.0000 0.2509
3 Y 0.1723 0.3446 0.4578
4 Pu 0.0000 0.0000 0.6286
5 S 0.0000 0.0000 0.3829
6 S 0.0000 0.0000 0.8592
7 S 0.0451 0.5226 0.3817
8 S 0.1752 0.3505 0.2045


# 9
Simulated PXRD pattern
Compound: K3Pu3ScTe8
Radiation: Cu Kα (weighted mean of Kα1 and Kα2)
Structure: a cell relaxed with GGA-PBE
Peak positions follow from Bragg's law for the DFT cell and can differ from measured ones.

The 8 most intense peaks (2θ = 5–70°), sorted by position:
2θ (°)	Rel. int.
10.60	73
27.18	100
34.21	28
37.01	34
40.56	37
42.04	17
46.34	17
49.51	19

Cell and atoms:
a b c (Å): 8.8972 8.8972 25.0330
angles (deg): 90.00 90.00 120.00
Space group R-3m (No. 166, hexagonal axes)
Unique sites:
1 K 0.0000 0.5000 0.0000
2 Pu 0.0000 0.5000 0.5000
3 Sc 0.0000 0.0000 0.5000
4 Te 0.0000 0.0000 0.2364
5 Te 0.0114 0.5057 0.2332


# 10
Simulated PXRD pattern
Compound: KPu4Se6
Radiation: Cu Kα (weighted mean of Kα1 and Kα2)
Structure: a cell relaxed with GGA-PBE
Peak positions follow from Bragg's law for the DFT cell and can differ from measured ones.

The 8 most intense peaks (2θ = 5–70°), sorted by position:
2θ (°)	Rel. int.
8.17	100
24.23	64
29.05	59
29.94	67
31.36	63
31.67	45
42.50	58
44.41	58

Cell and atoms:
a b c (Å): 4.190 13.872 21.652
angles (deg): 90.00 90.00 90.00
Space group Cmcm (No. 63)
Unique sites:
1 K 0.000 0.160 0.250
2 Pu 0.000 0.095 0.630
3 Pu 0.000 0.364 0.542
4 Se 0.000 0.000 0.000
5 Se 0.000 0.160 0.750
6 Se 0.000 0.272 0.081
7 Se 0.000 0.463 0.655


# 11
Simulated PXRD pattern
Compound: K4PuTh3Se8
Radiation: Cu Kα (weighted mean of Kα1 and Kα2)
Structure: a cell relaxed with GGA-PBE
Peak positions follow from Bragg's law for the DFT cell and can differ from measured ones.

The 8 most intense peaks (2θ = 5–70°), sorted by position:
2θ (°)	Rel. int.
11.37	72
24.34	24
28.54	100
36.24	21
39.30	38
42.27	36
43.92	18
51.80	19

Cell and atoms:
a b c (Å): 8.5518 8.5518 23.3544
angles (deg): 90.00 90.00 120.00
Space group R-3m (No. 166, hexagonal axes)
Unique sites:
1 K 0.0000 0.0000 0.0000
2 K 0.0000 0.5000 0.0000
3 Pu 0.0000 0.0000 0.5000
4 Th 0.0000 0.5000 0.5000
5 Se 0.0000 0.0000 0.2387
6 Se 0.0028 0.5014 0.7621


# 12
Simulated PXRD pattern
Compound: K3TmPu3Se8
Radiation: Cu Kα (weighted mean of Kα1 and Kα2)
Structure: a cell relaxed with GGA-PBE
Peak positions follow from Bragg's law for the DFT cell and can differ from measured ones.

The 8 most intense peaks (2θ = 5–70°), sorted by position:
2θ (°)	Rel. int.
11.06	100
27.05	19
33.40	84
35.08	42
36.89	24
42.10	30
50.46	15
61.87	28

Cell and atoms:
a b c (Å): 7.235 7.235 7.998
angles (deg): 90.00 90.00 90.00
Space group P4/mmm (No. 123)
Unique sites:
1 K 0.000 0.000 0.000
2 K 0.000 0.500 0.000
3 Tm 0.000 0.000 0.500
4 Pu 0.000 0.500 0.500
5 Pu 0.500 0.500 0.500
6 Se 0.248 0.248 0.296